# 1
Theoretical powder diffraction line list
Compound: MgAlBi12O20
Radiation: CuKα
Structure: a DFT-relaxed cell (PBE, the Materials Project)

Peak list (10 most intense, 10° ≤ 2θ ≤ 90°, in order of rising 2θ)
2θ = 23.6°, intensity 19.7
2θ = 24.4°, intensity 21.0
2θ = 26.6°, intensity 100.0
2θ = 27.1°, intensity 78.0
2θ = 29.8°, intensity 18.8
2θ = 31.9°, intensity 40.6
2θ = 32.5°, intensity 39.6
2θ = 40.9°, intensity 18.0
2θ = 51.5°, intensity 28.5
2θ = 52.3°, intensity 38.8

Structural model:
Lattice parameters (Å, degrees): 8.989 8.990 8.993 108.61 108.55 108.48
Atoms (fractional coordinates):
1 Mg 0.000 0.000 0.000
2 Al 0.754 0.755 0.754
3 Bi 0.038 0.378 0.203
4 Bi 0.122 0.636 0.964
5 Bi 0.205 0.039 0.378
6 Bi 0.330 0.521 0.676
7 Bi 0.377 0.207 0.038
8 Bi 0.516 0.996 0.708
9 Bi 0.520 0.679 0.330
10 Bi 0.635 0.967 0.123
11 Bi 0.677 0.331 0.520
12 Bi 0.707 0.517 0.995
13 Bi 0.965 0.124 0.634
14 Bi 0.994 0.708 0.514
15 O 0.090 0.471 0.717
16 O 0.095 0.203 0.476
17 O 0.202 0.203 0.201
18 O 0.203 0.479 0.096
19 O 0.213 0.960 0.603
20 O 0.219 0.583 0.468
21 O 0.439 0.831 0.835
22 O 0.468 0.221 0.583
23 O 0.471 0.719 0.091
24 O 0.476 0.097 0.202
25 O 0.571 0.572 0.571
26 O 0.582 0.470 0.220
27 O 0.604 0.214 0.960
28 O 0.717 0.092 0.470
29 O 0.789 0.981 0.802
30 O 0.801 0.790 0.980
31 O 0.830 0.836 0.439
32 O 0.835 0.440 0.830
33 O 0.960 0.605 0.213
34 O 0.979 0.801 0.789

***

# 2
Theoretical powder diffraction line list
Compound: KNaS2O7
Radiation: CuKα
Structure: a DFT-relaxed cell (PBE, the Materials Project)

Peak list (10 most intense, 10° ≤ 2θ ≤ 90°, in order of rising 2θ)
2θ = 20.1°, intensity 22.4
2θ = 21.9°, intensity 26.5
2θ = 24.8°, intensity 63.5
2θ = 28.0°, intensity 58.3
2θ = 28.5°, intensity 100.0
2θ = 29.2°, intensity 24.0
2θ = 29.9°, intensity 46.9
2θ = 30.4°, intensity 18.0
2θ = 31.5°, intensity 17.6
2θ = 35.9°, intensity 27.4

Structural model:
Lattice parameters (Å, degrees): 5.988 7.348 7.597 101.50 90.13 94.40
Atoms (fractional coordinates):
1 K 0.226 0.277 0.431
2 K 0.774 0.723 0.569
3 Na 0.208 0.144 0.898
4 Na 0.792 0.856 0.102
5 S 0.276 0.674 0.902
6 S 0.284 0.775 0.303
7 S 0.716 0.225 0.697
8 S 0.724 0.326 0.098
9 O 0.097 0.894 0.305
10 O 0.099 0.801 0.892
11 O 0.232 0.488 0.795
12 O 0.260 0.649 0.428
13 O 0.261 0.624 0.107
14 O 0.497 0.124 0.693
15 O 0.500 0.239 0.113
16 O 0.500 0.761 0.887
17 O 0.503 0.876 0.307
18 O 0.739 0.376 0.893
19 O 0.740 0.351 0.572
20 O 0.768 0.512 0.205
21 O 0.901 0.199 0.108
22 O 0.903 0.106 0.695

***

# 3
Theoretical powder diffraction line list
Compound: MgZnRe2O8
Radiation: CuKα
Structure: a DFT-relaxed cell (PBE, the Materials Project)

Peak list (10 most intense, 10° ≤ 2θ ≤ 90°, in order of rising 2θ)
2θ = 18.7°, intensity 14.0
2θ = 22.3°, intensity 100.0
2θ = 24.1°, intensity 14.6
2θ = 30.7°, intensity 26.4
2θ = 32.7°, intensity 37.0
2θ = 39.9°, intensity 16.4
2θ = 41.0°, intensity 13.9
2θ = 41.4°, intensity 16.1
2θ = 52.5°, intensity 19.1
2θ = 60.5°, intensity 12.8

Structural model:
Lattice parameters (Å, degrees): 5.480 5.480 7.374 90.00 90.00 120.00
Atoms (fractional coordinates):
1 Mg 0.000 0.000 0.000
2 Zn 0.667 0.333 0.198
3 Re 0.000 0.000 0.489
4 Re 0.333 0.667 0.953
5 O 0.000 0.000 0.729
6 O 0.010 0.655 0.063
7 O 0.331 0.086 0.402
8 O 0.333 0.667 0.718
9 O 0.345 0.355 0.063
10 O 0.645 0.990 0.063
11 O 0.756 0.669 0.402
12 O 0.914 0.244 0.402

***

# 4
Theoretical powder diffraction line list
Compound: Sm2Ga2Fe15C
Radiation: CuKα
Structure: a DFT-relaxed cell (PBE, the Materials Project)

Peak list (10 most intense, 10° ≤ 2θ ≤ 90°, in order of rising 2θ)
2θ = 29.8°, intensity 33.5
2θ = 30.9°, intensity 18.8
2θ = 36.1°, intensity 49.5
2θ = 37.4°, intensity 39.3
2θ = 41.9°, intensity 77.6
2θ = 42.2°, intensity 100.0
2θ = 43.1°, intensity 28.4
2θ = 43.2°, intensity 34.1
2θ = 47.4°, intensity 25.4
2θ = 61.8°, intensity 23.0

Structural model:
Lattice parameters (Å, degrees): 6.507 6.507 6.496 96.96 96.96 83.10
Atoms (fractional coordinates):
1 Sm 0.157 0.157 0.354
2 Sm 0.843 0.843 0.646
3 Ga 0.397 0.397 0.103
4 Ga 0.603 0.603 0.897
5 Fe 0.000 0.500 0.000
6 Fe 0.156 0.156 0.850
7 Fe 0.159 0.653 0.343
8 Fe 0.209 0.500 0.710
9 Fe 0.213 0.787 0.000
10 Fe 0.347 0.841 0.657
11 Fe 0.500 0.000 0.000
12 Fe 0.500 0.209 0.710
13 Fe 0.500 0.500 0.500
14 Fe 0.500 0.791 0.290
15 Fe 0.653 0.159 0.343
16 Fe 0.787 0.213 0.000
17 Fe 0.791 0.500 0.290
18 Fe 0.841 0.347 0.657
19 Fe 0.844 0.844 0.150
20 C 0.000 0.000 0.000

***

# 5
Theoretical powder diffraction line list
Compound: CaH2O2
Radiation: CuKα
Structure: a DFT-relaxed cell (PBE, the Materials Project)

Peak list (10 most intense, 10° ≤ 2θ ≤ 90°, in order of rising 2θ)
2θ = 17.8°, intensity 100.0
2θ = 28.6°, intensity 27.3
2θ = 31.8°, intensity 49.5
2θ = 34.9°, intensity 97.8
2θ = 43.5°, intensity 21.7
2θ = 45.2°, intensity 18.3
2θ = 48.2°, intensity 22.5
2θ = 50.5°, intensity 28.2
2θ = 50.8°, intensity 15.1
2θ = 52.0°, intensity 18.2

Structural model:
Lattice parameters (Å, degrees): 3.633 3.633 5.011 96.30 96.30 59.24
Atoms (fractional coordinates):
1 Ca 0.000 0.000 0.000
2 H 0.202 0.376 0.583
3 H 0.624 0.798 0.417
4 O 0.309 0.306 0.770
5 O 0.694 0.691 0.230

***

# 6
Theoretical powder diffraction line list
Compound: NdB3O6
Radiation: CuKα
Structure: a DFT-relaxed cell (PBE, the Materials Project)

Peak list (10 most intense, 10° ≤ 2θ ≤ 90°, in order of rising 2θ)
2θ = 17.6°, intensity 100.0
2θ = 21.7°, intensity 40.5
2θ = 22.4°, intensity 41.7
2θ = 27.8°, intensity 45.7
2θ = 27.9°, intensity 46.0
2θ = 29.3°, intensity 30.8
2θ = 31.4°, intensity 74.0
2θ = 34.8°, intensity 29.9
2θ = 43.7°, intensity 32.0
2θ = 48.3°, intensity 30.1

Structural model:
Lattice parameters (Å, degrees): 6.424 6.424 6.438 117.59 117.59 79.03
Atoms (fractional coordinates):
1 Nd 0.202 0.798 0.750
2 Nd 0.798 0.202 0.250
3 B 0.206 0.340 0.915
4 B 0.222 0.778 0.250
5 B 0.340 0.206 0.415
6 B 0.660 0.794 0.585
7 B 0.778 0.222 0.750
8 B 0.794 0.660 0.085
9 O 0.009 0.782 0.289
10 O 0.209 0.385 0.496
11 O 0.212 0.584 0.007
12 O 0.218 0.991 0.211
13 O 0.385 0.209 0.996
14 O 0.416 0.788 0.493
15 O 0.584 0.212 0.507
16 O 0.615 0.791 0.004
17 O 0.782 0.009 0.789
18 O 0.788 0.416 0.993
19 O 0.791 0.615 0.504
20 O 0.991 0.218 0.711

***

# 7
Theoretical powder diffraction line list
Compound: TeO2
Radiation: CuKα
Structure: a DFT-relaxed cell (PBE, the Materials Project)

Peak list (10 most intense, 10° ≤ 2θ ≤ 90°, in order of rising 2θ)
2θ = 25.3°, intensity 79.8
2θ = 28.0°, intensity 12.9
2θ = 29.5°, intensity 100.0
2θ = 36.2°, intensity 19.5
2θ = 47.3°, intensity 58.7
2θ = 54.8°, intensity 23.3
2θ = 58.8°, intensity 11.1
2θ = 61.0°, intensity 11.8
2θ = 61.3°, intensity 12.1
2θ = 79.0°, intensity 11.7

Structural model:
Lattice parameters (Å, degrees): 4.969 4.969 7.626 90.00 90.00 90.00
Atoms (fractional coordinates):
1 Te 0.032 0.032 0.000
2 Te 0.468 0.532 0.750
3 Te 0.532 0.468 0.250
4 Te 0.968 0.968 0.500
5 O 0.145 0.255 0.809
6 O 0.245 0.645 0.559
7 O 0.255 0.145 0.191
8 O 0.355 0.755 0.941
9 O 0.645 0.245 0.441
10 O 0.745 0.855 0.691
11 O 0.755 0.355 0.059
12 O 0.855 0.745 0.309

***

Copy entry 7 word for word.
Theoretical powder diffraction line list
Compound: TeO2
Radiation: CuKα
Structure: a DFT-relaxed cell (PBE, the Materials Project)

Peak list (10 most intense, 10° ≤ 2θ ≤ 90°, in order of rising 2θ)
2θ = 25.3°, intensity 79.8
2θ = 28.0°, intensity 12.9
2θ = 29.5°, intensity 100.0
2θ = 36.2°, intensity 19.5
2θ = 47.3°, intensity 58.7
2θ = 54.8°, intensity 23.3
2θ = 58.8°, intensity 11.1
2θ = 61.0°, intensity 11.8
2θ = 61.3°, intensity 12.1
2θ = 79.0°, intensity 11.7

Structural model:
Lattice parameters (Å, degrees): 4.969 4.969 7.626 90.00 90.00 90.00
Atoms (fractional coordinates):
1 Te 0.032 0.032 0.000
2 Te 0.468 0.532 0.750
3 Te 0.532 0.468 0.250
4 Te 0.968 0.968 0.500
5 O 0.145 0.255 0.809
6 O 0.245 0.645 0.559
7 O 0.255 0.145 0.191
8 O 0.355 0.755 0.941
9 O 0.645 0.245 0.441
10 O 0.745 0.855 0.691
11 O 0.755 0.355 0.059
12 O 0.855 0.745 0.309

***

Repeat the third record exactly.
Theoretical powder diffraction line list
Compound: MgZnRe2O8
Radiation: CuKα
Structure: a DFT-relaxed cell (PBE, the Materials Project)

Peak list (10 most intense, 10° ≤ 2θ ≤ 90°, in order of rising 2θ)
2θ = 18.7°, intensity 14.0
2θ = 22.3°, intensity 100.0
2θ = 24.1°, intensity 14.6
2θ = 30.7°, intensity 26.4
2θ = 32.7°, intensity 37.0
2θ = 39.9°, intensity 16.4
2θ = 41.0°, intensity 13.9
2θ = 41.4°, intensity 16.1
2θ = 52.5°, intensity 19.1
2θ = 60.5°, intensity 12.8

Structural model:
Lattice parameters (Å, degrees): 5.480 5.480 7.374 90.00 90.00 120.00
Atoms (fractional coordinates):
1 Mg 0.000 0.000 0.000
2 Zn 0.667 0.333 0.198
3 Re 0.000 0.000 0.489
4 Re 0.333 0.667 0.953
5 O 0.000 0.000 0.729
6 O 0.010 0.655 0.063
7 O 0.331 0.086 0.402
8 O 0.333 0.667 0.718
9 O 0.345 0.355 0.063
10 O 0.645 0.990 0.063
11 O 0.756 0.669 0.402
12 O 0.914 0.244 0.402